Entry 1:
Starting from a DFT-relaxed cell (GGA-PBE, Alexandria), the PXRD pattern of ReTc2Ni was simulated for a wavelength of 1.5418 Å.
Intensities are scaled so that the largest is 100.

Structure:
Unit cell a=4.6325 b=4.6278 c=3.8395 alpha=65.57 beta=65.44 gamma=48.99
Fractional coordinates of all 4 atoms:
Re  0.0000  0.0000  0.0000
Tc  0.2500  0.2500  0.2500
Tc  0.7500  0.7500  0.7500
Ni  0.5000  0.5000  0.5000

Peak list (10 most intense, 10 to 80 degrees two-theta, in order of rising 2θ)
- 2θ 26.1, I = 22
- 2θ 41.0, I = 100
- 2θ 43.2, I = 6
- 2θ 47.4, I = 33
- 2θ 48.5, I = 15
- 2θ 54.8, I = 3
- 2θ 54.9, I = 3
- 2θ 69.1, I = 5
- 2θ 69.3, I = 5
- 2θ 70.2, I = 20



Entry 2:
Starting from a DFT-relaxed cell (GGA-PBE, Alexandria), the PXRD pattern of Sc12AgSn6 was simulated for a wavelength of 1.5418 Å.
Intensities are scaled so that the largest is 100.

Structure:
Unit cell a=8.2158 b=8.2158 c=8.2158 alpha=100.57 beta=100.57 gamma=100.57
Fractional coordinates of all 19 atoms:
Sc  0.0363  0.6791  0.9508
Sc  0.0492  0.9637  0.3209
Sc  0.1980  0.4172  0.5543
Sc  0.3209  0.0492  0.9637
Sc  0.4172  0.5543  0.1980
Sc  0.4457  0.8020  0.5828
Sc  0.5543  0.1980  0.4172
Sc  0.5828  0.4457  0.8020
Sc  0.6791  0.9508  0.0363
Sc  0.8020  0.5828  0.4457
Sc  0.9508  0.0363  0.6791
Sc  0.9637  0.3209  0.0492
Ag  0.0000  0.0000  0.0000
Sn  0.1215  0.6299  0.3156
Sn  0.3156  0.1215  0.6299
Sn  0.3701  0.6844  0.8785
Sn  0.6299  0.3156  0.1215
Sn  0.6844  0.8785  0.3701
Sn  0.8785  0.3701  0.6844

Peak list (10 most intense, 10 to 80 degrees two-theta, in order of rising 2θ)
- 2θ 22.9, I = 100
- 2θ 23.6, I = 35
- 2θ 33.5, I = 29
- 2θ 34.2, I = 16
- 2θ 37.7, I = 41
- 2θ 38.5, I = 50
- 2θ 39.2, I = 25
- 2θ 44.5, I = 23
- 2θ 44.9, I = 18
- 2θ 49.1, I = 15



Entry 3:
Starting from a DFT-relaxed cell (GGA-PBE, Alexandria), the PXRD pattern of Ag3TeF7 was simulated for a wavelength of 1.5418 Å.
Intensities are scaled so that the largest is 100.

Structure:
Unit cell a=6.7190 b=6.7190 c=9.1876 alpha=90.00 beta=90.00 gamma=109.78
Fractional coordinates of all 22 atoms:
Ag  0.0191  0.4455  0.2977
Ag  0.0422  0.9578  0.5000
Ag  0.4455  0.0191  0.7977
Ag  0.5545  0.9809  0.2977
Ag  0.9578  0.0422  0.0000
Ag  0.9809  0.5545  0.7977
Te  0.4629  0.5371  0.5036
Te  0.5371  0.4629  0.0036
F  0.0900  0.9100  0.7685
F  0.1797  0.4353  0.6061
F  0.2242  0.4080  0.9599
F  0.2410  0.7590  0.3813
F  0.4080  0.2242  0.4599
F  0.4353  0.1797  0.1061
F  0.4512  0.5488  0.1875
F  0.5488  0.4512  0.6875
F  0.5647  0.8203  0.6061
F  0.5920  0.7758  0.9599
F  0.7590  0.2410  0.8813
F  0.7758  0.5920  0.4599
F  0.8203  0.5647  0.1061
F  0.9100  0.0900  0.2685

Peak list (10 most intense, 10 to 80 degrees two-theta, in order of rising 2θ)
- 2θ 17.0, I = 15
- 2θ 25.3, I = 100
- 2θ 28.2, I = 78
- 2θ 28.7, I = 17
- 2θ 30.2, I = 56
- 2θ 41.5, I = 16
- 2θ 45.0, I = 21
- 2θ 47.0, I = 14
- 2θ 49.0, I = 26
- 2θ 54.1, I = 20



Entry 4:
Starting from a DFT-relaxed cell (GGA-PBE, Alexandria), the PXRD pattern of La5PrTl2In was simulated for a wavelength of 1.5418 Å.
Intensities are scaled so that the largest is 100.

Structure:
Unit cell a=9.6447 b=9.6447 c=9.6447 alpha=124.45 beta=124.45 gamma=82.45
Fractional coordinates of all 18 atoms:
La  0.0000  0.0000  0.0000
La  0.0591  0.5591  0.8967
La  0.1625  0.0591  0.5000
La  0.3375  0.8375  0.8967
La  0.4409  0.3375  0.5000
La  0.5000  0.5000  0.0000
La  0.5591  0.6625  0.5000
La  0.6625  0.1625  0.1033
La  0.8375  0.9409  0.5000
La  0.9409  0.4409  0.1033
Pr  0.2500  0.7500  0.5000
Pr  0.7500  0.2500  0.5000
Tl  0.1135  0.3865  0.5000
Tl  0.3865  0.8865  0.2729
Tl  0.6135  0.1135  0.7271
Tl  0.8865  0.6135  0.5000
In  0.2500  0.2500  0.0000
In  0.7500  0.7500  0.0000

Peak list (10 most intense, 10 to 80 degrees two-theta, in order of rising 2θ)
- 2θ 28.1, I = 52
- 2θ 28.9, I = 96
- 2θ 31.5, I = 24
- 2θ 31.7, I = 100
- 2θ 33.9, I = 20
- 2θ 36.6, I = 37
- 2θ 38.3, I = 21
- 2θ 41.9, I = 20
- 2θ 42.1, I = 18
- 2θ 58.2, I = 14



Entry 5:
Starting from a DFT-relaxed cell (GGA-PBE, Alexandria), the PXRD pattern of Ba2YAuO5 was simulated for a wavelength of 1.5418 Å.
Intensities are scaled so that the largest is 100.

Structure:
Unit cell a=7.2794 b=7.2794 c=12.1051 alpha=90.00 beta=90.00 gamma=151.02
Fractional coordinates of all 18 atoms:
Ba  0.0922  0.9078  0.5000
Ba  0.1499  0.8501  0.1170
Ba  0.8501  0.1499  0.6170
Ba  0.9078  0.0922  0.0000
Y  0.2081  0.7919  0.8402
Y  0.7919  0.2081  0.3402
Au  0.4785  0.5215  0.2634
Au  0.5215  0.4785  0.7634
O  0.0615  0.9385  0.8902
O  0.2704  0.7296  0.4549
O  0.3338  0.6662  0.2162
O  0.3762  0.6238  0.8031
O  0.4831  0.5169  0.5988
O  0.5169  0.4831  0.0988
O  0.6238  0.3762  0.3031
O  0.6662  0.3338  0.7162
O  0.7296  0.2704  0.9549
O  0.9385  0.0615  0.3902

Peak list (10 most intense, 10 to 80 degrees two-theta, in order of rising 2θ)
- 2θ 12.6, I = 18
- 2θ 25.4, I = 36
- 2θ 26.3, I = 19
- 2θ 29.3, I = 100
- 2θ 31.1, I = 40
- 2θ 32.0, I = 16
- 2θ 32.2, I = 22
- 2θ 33.8, I = 30
- 2θ 41.2, I = 17
- 2θ 50.9, I = 15



Entry 6:
Starting from a DFT-relaxed cell (GGA-PBE, Alexandria), the PXRD pattern of Np5Se8 was simulated for a wavelength of 1.5418 Å.
Intensities are scaled so that the largest is 100.

Structure:
Unit cell a=8.0429 b=8.0429 c=9.8107 alpha=125.53 beta=125.53 gamma=62.63
Fractional coordinates of all 13 atoms:
Np  0.0000  0.0000  0.0000
Np  0.2559  0.7441  0.5000
Np  0.2767  0.2767  0.0041
Np  0.7233  0.7233  0.9959
Np  0.7441  0.2559  0.5000
Se  0.0085  0.5533  0.8311
Se  0.0103  0.0103  0.3102
Se  0.4467  0.9915  0.1689
Se  0.4591  0.4591  0.6567
Se  0.5409  0.5409  0.3433
Se  0.5533  0.0085  0.8311
Se  0.9897  0.9897  0.6898
Se  0.9915  0.4467  0.1689

Peak list (10 most intense, 10 to 80 degrees two-theta, in order of rising 2θ)
- 2θ 12.9, I = 100
- 2θ 24.6, I = 57
- 2θ 24.8, I = 25
- 2θ 27.7, I = 39
- 2θ 28.1, I = 80
- 2θ 35.7, I = 38
- 2θ 35.8, I = 43
- 2θ 36.3, I = 67
- 2θ 43.3, I = 27
- 2θ 43.5, I = 55



Entry 7:
Starting from a DFT-relaxed cell (GGA-PBE, Alexandria), the PXRD pattern of Th2CuB10 was simulated for a wavelength of 1.5418 Å.
Intensities are scaled so that the largest is 100.

Structure:
Unit cell a=5.6864 b=11.2727 c=4.1858 alpha=90.00 beta=90.00 gamma=90.00
Fractional coordinates of all 26 atoms:
Th  0.1944  0.1372  0.0000
Th  0.3056  0.6372  0.0000
Th  0.6944  0.3628  0.0000
Th  0.8056  0.8628  0.0000
Cu  0.0000  0.5000  0.5000
Cu  0.5000  0.0000  0.5000
B  0.0421  0.3095  0.5000
B  0.1214  0.9585  0.5000
B  0.1483  0.8026  0.5000
B  0.2085  0.3835  0.1988
B  0.2085  0.3835  0.8012
B  0.2915  0.8835  0.1988
B  0.2915  0.8835  0.8012
B  0.3517  0.3026  0.5000
B  0.3786  0.4585  0.5000
B  0.4579  0.8095  0.5000
B  0.5421  0.1905  0.5000
B  0.6214  0.5415  0.5000
B  0.6483  0.6974  0.5000
B  0.7085  0.1165  0.1988
B  0.7085  0.1165  0.8012
B  0.7915  0.6165  0.1988
B  0.7915  0.6165  0.8012
B  0.8517  0.1974  0.5000
B  0.8786  0.0415  0.5000
B  0.9579  0.6905  0.5000

Peak list (10 most intense, 10 to 80 degrees two-theta, in order of rising 2θ)
- 2θ 21.2, I = 38
- 2θ 22.2, I = 80
- 2θ 27.6, I = 19
- 2θ 30.9, I = 100
- 2θ 31.8, I = 18
- 2θ 38.3, I = 30
- 2θ 38.5, I = 42
- 2θ 43.2, I = 18
- 2θ 45.3, I = 18
- 2θ 49.1, I = 28



Entry 8:
Starting from a DFT-relaxed cell (GGA-PBE, Alexandria), the PXRD pattern of Mn2AlZn3 was simulated for a wavelength of 1.5418 Å.
Intensities are scaled so that the largest is 100.

Structure:
Unit cell a=5.0280 b=5.0280 c=6.8860 alpha=99.68 beta=99.68 gamma=93.51
Fractional coordinates of all 12 atoms:
Mn  0.1190  0.6290  0.8759
Mn  0.3710  0.8810  0.6241
Mn  0.6290  0.1190  0.3759
Mn  0.8810  0.3710  0.1241
Al  0.0850  0.9150  0.2500
Al  0.9150  0.0850  0.7500
Zn  0.1701  0.3403  0.4988
Zn  0.3403  0.1701  0.9988
Zn  0.4220  0.5780  0.2500
Zn  0.5780  0.4220  0.7500
Zn  0.6597  0.8299  0.0012
Zn  0.8299  0.6597  0.5012

Peak list (10 most intense, 10 to 80 degrees two-theta, in order of rising 2θ)
- 2θ 18.0, I = 8
- 2θ 33.0, I = 9
- 2θ 41.4, I = 95
- 2θ 42.8, I = 100
- 2θ 55.0, I = 13
- 2θ 61.0, I = 10
- 2θ 61.0, I = 18
- 2θ 69.1, I = 7
- 2θ 77.3, I = 26
- 2θ 78.3, I = 15



Entry 9:
Starting from a DFT-relaxed cell (GGA-PBE, Alexandria), the PXRD pattern of Rb3Nb6SBr17 was simulated for a wavelength of 1.5418 Å.
Intensities are scaled so that the largest is 100.

Structure:
Unit cell a=13.2924 b=13.2924 c=9.5511 alpha=91.48 beta=91.48 gamma=93.78
Fractional coordinates of all 54 atoms:
Rb  0.0421  0.9579  0.7500
Rb  0.2284  0.3360  0.8212
Rb  0.3360  0.2284  0.3212
Rb  0.6640  0.7716  0.6788
Rb  0.7716  0.6640  0.1788
Rb  0.9579  0.0421  0.2500
Nb  0.1181  0.7410  0.3541
Nb  0.2008  0.5552  0.2333
Nb  0.2590  0.8819  0.1459
Nb  0.3031  0.6644  0.4806
Nb  0.3356  0.6969  0.0194
Nb  0.4448  0.7992  0.2667
Nb  0.5552  0.2008  0.7333
Nb  0.6644  0.3031  0.9806
Nb  0.6969  0.3356  0.5194
Nb  0.7410  0.1181  0.8541
Nb  0.7992  0.4448  0.7667
Nb  0.8819  0.2590  0.6459
S  0.2771  0.7229  0.2500
S  0.7229  0.2771  0.7500
Br  0.0145  0.5681  0.3103
Br  0.0636  0.1894  0.5661
Br  0.0635  0.8127  0.1013
Br  0.1411  0.7023  0.6179
Br  0.1426  0.3610  0.1552
Br  0.1528  0.6026  0.9690
Br  0.1873  0.9365  0.3987
Br  0.1894  0.0636  0.0661
Br  0.2462  0.4714  0.4726
Br  0.2977  0.8589  0.8821
Br  0.3610  0.1426  0.6552
Br  0.3742  0.5120  0.1079
Br  0.3814  0.6186  0.7500
Br  0.3974  0.8472  0.5310
Br  0.4319  0.9855  0.1897
Br  0.4714  0.2462  0.9726
Br  0.4880  0.6258  0.3921
Br  0.5120  0.3742  0.6079
Br  0.5286  0.7538  0.0274
Br  0.5681  0.0145  0.8103
Br  0.6026  0.1528  0.4690
Br  0.6186  0.3814  0.2500
Br  0.6258  0.4880  0.8921
Br  0.6390  0.8574  0.3448
Br  0.7023  0.1411  0.1179
Br  0.7538  0.5286  0.5274
Br  0.8106  0.9364  0.9339
Br  0.8127  0.0635  0.6013
Br  0.8472  0.3974  0.0310
Br  0.8574  0.6390  0.8448
Br  0.8589  0.2977  0.3821
Br  0.9365  0.1873  0.8987
Br  0.9364  0.8106  0.4339
Br  0.9855  0.4319  0.6897

Peak list (10 most intense, 10 to 80 degrees two-theta, in order of rising 2θ)
- 2θ 11.6, I = 54
- 2θ 26.6, I = 32
- 2θ 30.0, I = 100
- 2θ 30.7, I = 100
- 2θ 31.9, I = 96
- 2θ 37.4, I = 39
- 2θ 38.7, I = 37
- 2θ 40.4, I = 45
- 2θ 49.0, I = 46
- 2θ 49.6, I = 39



Entry 10:
Starting from a DFT-relaxed cell (GGA-PBE, Alexandria), the PXRD pattern of Rb2RuBr7 was simulated for a wavelength of 1.5418 Å.
Intensities are scaled so that the largest is 100.

Structure:
Unit cell a=8.1210 b=8.1210 c=8.1210 alpha=121.45 beta=121.45 gamma=87.51
Fractional coordinates of all 10 atoms:
Rb  0.2500  0.7500  0.5000
Rb  0.7500  0.2500  0.5000
Ru  0.0000  0.0000  0.0000
Br  0.2136  0.2136  0.0000
Br  0.2247  0.2247  0.4493
Br  0.2247  0.7753  0.0000
Br  0.5000  0.5000  0.0000
Br  0.7753  0.2247  0.0000
Br  0.7753  0.7753  0.5507
Br  0.7864  0.7864  0.0000

Peak list (10 most intense, 10 to 80 degrees two-theta, in order of rising 2θ)
- 2θ 13.5, I = 29
- 2θ 15.8, I = 29
- 2θ 21.9, I = 37
- 2θ 27.1, I = 91
- 2θ 30.5, I = 52
- 2θ 31.9, I = 100
- 2θ 44.7, I = 65
- 2θ 45.7, I = 33
- 2θ 53.9, I = 19
- 2θ 55.9, I = 30



Entry 11:
Starting from a DFT-relaxed cell (GGA-PBE, Alexandria), the PXRD pattern of BaSr10Ca4 was simulated for a wavelength of 1.5418 Å.
Intensities are scaled so that the largest is 100.

Structure:
Unit cell a=10.2314 b=10.2314 c=10.2314 alpha=110.16 beta=110.16 gamma=108.11
Fractional coordinates of all 15 atoms:
Ba  0.0000  0.0000  0.0000
Sr  0.1230  0.2203  0.6776
Sr  0.2203  0.5426  0.0973
Sr  0.2500  0.7500  0.5000
Sr  0.4453  0.1230  0.9027
Sr  0.4574  0.5547  0.6776
Sr  0.5426  0.4453  0.3224
Sr  0.5547  0.8770  0.0973
Sr  0.7500  0.2500  0.5000
Sr  0.7797  0.4574  0.9027
Sr  0.8770  0.7797  0.3224
Ca  0.0785  0.6664  0.7449
Ca  0.3336  0.0785  0.4121
Ca  0.6664  0.9215  0.5879
Ca  0.9215  0.3336  0.2551

Peak list (10 most intense, 10 to 80 degrees two-theta, in order of rising 2θ)
- 2θ 18.5, I = 23
- 2θ 23.5, I = 55
- 2θ 24.0, I = 100
- 2θ 28.0, I = 33
- 2θ 28.3, I = 69
- 2θ 28.5, I = 22
- 2θ 34.2, I = 34
- 2θ 35.6, I = 27
- 2θ 37.5, I = 17
- 2θ 57.7, I = 16